For SrCrO3, a PBE+U-relaxed structure gives the simulated X-ray diffraction stick pattern in this record (Cu Kα (weighted mean of Kα1 and Kα2)).
Lines closer than 0.1° are merged.

Atomic structure:
Cell lengths 5.5483, 13.6525, 5.5488 Å; angles 90.00, 119.96, 90.00 degrees
Positions (direct):
Sr (0.0000, 0.0000, 0.0000)
Sr (0.0041, 0.5000, 0.9970)
Sr (0.3360, 0.1533, 0.6704)
Sr (0.3360, 0.8467, 0.6704)
Sr (0.6743, 0.3467, 0.3328)
Sr (0.6743, 0.6533, 0.3328)
Cr (0.0031, 0.2499, 0.9995)
Cr (0.0031, 0.7501, 0.9995)
Cr (0.3354, 0.4048, 0.6622)
Cr (0.3354, 0.5952, 0.6622)
Cr (0.6653, 0.0951, 0.3315)
Cr (0.6653, 0.9049, 0.3315)
O (0.0245, 0.5000, 0.5139)
O (0.1891, 0.3347, 0.3289)
O (0.1891, 0.6653, 0.3289)
O (0.2044, 0.3214, 0.8373)
O (0.2044, 0.6786, 0.8373)
O (0.3312, 0.1650, 0.1862)
O (0.3312, 0.8350, 0.1862)
O (0.4891, 0.5000, 0.9709)
O (0.4921, 0.5000, 0.5163)
O (0.5157, 0.0000, 0.0206)
O (0.5212, 0.0000, 0.4899)
O (0.7066, 0.3376, 0.8348)
O (0.7066, 0.6624, 0.8348)
O (0.8386, 0.1783, 0.1977)
O (0.8386, 0.8217, 0.1977)
O (0.8400, 0.1629, 0.7018)
O (0.8400, 0.8371, 0.7018)
O (0.9742, 0.0000, 0.4840)

Most intense lines, 2θ = 10–90°, by intensity:
- (1 0 1), 2θ 32.19, I = 100
- (2 0 -1), 2θ 32.27, I = 65
- (2 4 0), 2θ 46.20, I = 47
- (3 0 0), 2θ 57.48, I = 38
- (2 3 -2), 2θ 42.54, I = 27
- (1 3 0), 2θ 26.98, I = 23
- (2 0 2), 2θ 67.51, I = 20
- (1 7 0), 2θ 50.53, I = 16